Record 1
Starting from a cell relaxed with PBE, the XRD peak list of CaSnS3 was simulated for Cu Ka.
Intensities are scaled so that the largest is 100.

Top 10 peaks for 5° ≤ 2θ ≤ 70°, low angle first:
2theta	intensity
12.08	10
14.06	17
21.30	100
21.46	22
28.34	24
35.11	18
35.27	35
41.12	13
41.35	10
41.49	13

Cell and atoms:
a = 8.8019 Å, b = 15.3362 Å, c = 25.1975 Å
α = 90.00°, β = 90.65°, γ = 90.00°
Space group C2/c (No. 15)
Symmetry-distinct sites (fractional):
Ca (0.0000, 0.0000, 0.0000) [4 per cell]
Ca (0.0000, 0.0080, 0.2500) [4 per cell]
Ca (0.0000, 0.3204, 0.7500) [4 per cell]
Ca (0.0000, 0.3307, 0.2500) [4 per cell]
Ca (0.0057, 0.3274, 0.4989) [8 per cell]
Sn (0.1119, 0.1706, 0.1288) [8 per cell]
Sn (0.1905, 0.1954, 0.6220) [8 per cell]
Sn (0.1986, 0.4736, 0.6247) [8 per cell]
S (0.0186, 0.0287, 0.3735) [8 per cell]
S (0.0294, 0.3102, 0.3738) [8 per cell]
S (0.0519, 0.3352, 0.6231) [8 per cell]
S (0.1380, 0.1513, 0.7095) [8 per cell]
S (0.1539, 0.1567, 0.5315) [8 per cell]
S (0.1591, 0.4851, 0.2131) [8 per cell]
S (0.1652, 0.4809, 0.0362) [8 per cell]
S (0.1877, 0.1731, 0.2197) [8 per cell]
S (0.1997, 0.1740, 0.0411) [8 per cell]


Record 2
Starting from a cell relaxed with PBE, the XRD peak list of CaSnS3 was simulated for Cu Ka.
Intensities are scaled so that the largest is 100.

Top 10 peaks for 5° ≤ 2θ ≤ 70°, low angle first:
2theta	intensity
14.66	34
15.53	100
17.80	57
24.54	64
24.93	28
26.13	32
29.21	38
36.04	37
39.27	84
39.87	30

Cell and atoms:
a = 6.8219 Å, b = 12.8494 Å, c = 17.7372 Å
α = 90.00°, β = 90.00°, γ = 90.00°
Space group Cmcm (No. 63)
Symmetry-distinct sites (fractional):
Ca (0.0000, 0.0677, 0.2500) [4 per cell]
Ca (0.0000, 0.3012, 0.5689) [8 per cell]
Sn (0.0000, 0.0000, 0.0000) [4 per cell]
Sn (0.0000, 0.3442, 0.1603) [8 per cell]
S (0.0000, 0.1270, 0.1047) [8 per cell]
S (0.0000, 0.4989, 0.7500) [4 per cell]
S (0.2425, 0.3686, 0.0538) [16 per cell]
S (0.2481, 0.2589, 0.2500) [8 per cell]


Record 3
Starting from a cell relaxed with PBE, the XRD peak list of Ca3SnS5 was simulated for Cu Ka.
Intensities are scaled so that the largest is 100.

Top 10 peaks for 5° ≤ 2θ ≤ 70°, low angle first:
2theta	intensity
15.93	39
18.02	55
19.68	72
22.94	61
25.27	57
25.42	67
26.81	42
39.98	100
43.75	42
47.89	41

Cell and atoms:
a = 9.0204 Å, b = 9.0204 Å, c = 31.7107 Å
α = 90.00°, β = 90.00°, γ = 120.00°
Space group R3m (No. 160, hexagonal axes)
Symmetry-distinct sites (fractional):
Ca (0.0463, 0.5231, 0.0000) [9 per cell]
Ca (0.1704, 0.3408, 0.1098) [9 per cell]
Ca (0.1893, 0.3785, 0.8872) [9 per cell]
Sn (0.0000, 0.0000, 0.5636) [3 per cell]
Sn (0.0000, 0.0000, 0.7831) [3 per cell]
Sn (0.0000, 0.0000, 0.9980) [3 per cell]
S (0.0000, 0.0000, 0.0733) [3 per cell]
S (0.0000, 0.0000, 0.1636) [3 per cell]
S (0.0000, 0.0000, 0.2757) [3 per cell]
S (0.0000, 0.0000, 0.3914) [3 per cell]
S (0.0000, 0.0000, 0.6404) [3 per cell]
S (0.0000, 0.0000, 0.8599) [3 per cell]
S (0.0442, 0.5221, 0.6397) [9 per cell]
S (0.1890, 0.3779, 0.4223) [9 per cell]
S (0.1927, 0.3854, 0.1990) [9 per cell]


Record 4
Starting from a cell relaxed with PBE, the XRD peak list of CaSnS3 was simulated for Cu Ka.
Intensities are scaled so that the largest is 100.

Top 10 peaks for 5° ≤ 2θ ≤ 70°, low angle first:
2theta	intensity
15.03	35
15.43	100
26.19	51
31.99	22
33.52	34
38.77	42
39.37	22
40.65	20
41.80	21
53.89	27

Cell and atoms:
a = 6.8058 Å, b = 6.8058 Å, c = 25.4246 Å
α = 90.00°, β = 90.00°, γ = 120.00°
Space group P6_3/mmc (No. 194)
Symmetry-distinct sites (fractional):
Ca (0.0000, 0.0000, 0.0000) [2 per cell]
Ca (0.0000, 0.0000, 0.2500) [2 per cell]
Ca (0.3333, 0.6667, 0.0863) [4 per cell]
Sn (0.3333, 0.6667, 0.5664) [4 per cell]
Sn (0.3333, 0.6667, 0.6886) [4 per cell]
S (0.0000, 0.5000, 0.0000) [6 per cell]
S (0.0045, 0.5022, 0.2500) [6 per cell]
S (0.1616, 0.3233, 0.6227) [12 per cell]


Record 5
Starting from a cell relaxed with PBE, the XRD peak list of CaSnS3 was simulated for Cu Ka.
Intensities are scaled so that the largest is 100.

Top 10 peaks for 5° ≤ 2θ ≤ 70°, low angle first:
2theta	intensity
15.23	43
21.94	41
22.67	64
27.42	100
30.73	58
34.02	34
38.53	47
41.27	38
42.03	42
46.84	21

Cell and atoms:
a = 3.9228 Å, b = 8.1013 Å, c = 8.3614 Å
α = 90.00°, β = 90.00°, γ = 90.00°
Space group Amm2 (No. 38)
Symmetry-distinct sites (fractional):
Ca (0.0000, 0.0000, 0.0000) [2 per cell]
Sn (0.5000, 0.0000, 0.5934) [2 per cell]
S (0.5000, 0.0000, 0.2521) [2 per cell]
S (0.5000, 0.2042, 0.8244) [4 per cell]


Record 6
Starting from a cell relaxed with PBE, the XRD peak list of CaSnS3 was simulated for Cu Ka.
Intensities are scaled so that the largest is 100.

Top 10 peaks for 5° ≤ 2θ ≤ 70°, low angle first:
2theta	intensity
17.66	65
18.84	35
25.13	29
25.93	100
28.06	40
34.05	31
35.75	33
38.22	30
44.77	30
46.26	32

Cell and atoms:
a = 9.4199 Å, b = 7.1208 Å, c = 7.0873 Å
α = 90.00°, β = 90.00°, γ = 90.00°
Space group Pmc2_1 (No. 26)
Symmetry-distinct sites (fractional):
Ca (0.0000, 0.1998, 0.0000) [2 per cell]
Ca (0.5000, 0.2022, 0.8677) [2 per cell]
Sn (0.2444, 0.3046, 0.4645) [4 per cell]
S (0.0000, 0.3992, 0.3452) [2 per cell]
S (0.1945, 0.0752, 0.7141) [4 per cell]
S (0.3033, 0.3902, 0.1126) [4 per cell]
S (0.5000, 0.1676, 0.4785) [2 per cell]


Record 7
Starting from a cell relaxed with PBE, the XRD peak list of CaSnS3 was simulated for Cu Ka.
Intensities are scaled so that the largest is 100.

Top 10 peaks for 5° ≤ 2θ ≤ 70°, low angle first:
2theta	intensity
14.91	100
17.37	36
21.22	37
23.52	23
25.85	21
27.03	45
30.49	27
31.76	19
32.29	19
38.69	23

Cell and atoms:
a = 7.4232 Å, b = 10.2086 Å, c = 7.3597 Å
α = 90.00°, β = 99.35°, γ = 90.00°
Space group P2_1/c (No. 14)
Symmetry-distinct sites (fractional):
Ca (0.0937, 0.0975, 0.2525) [4 per cell]
Sn (0.3422, 0.6981, 0.5090) [4 per cell]
S (0.0736, 0.6645, 0.9315) [4 per cell]
S (0.2279, 0.0150, 0.9377) [4 per cell]
S (0.4513, 0.2247, 0.6982) [4 per cell]


Record 8
Starting from a cell relaxed with PBE, the XRD peak list of CaSnS3 was simulated for Cu Ka.
Intensities are scaled so that the largest is 100.

Top 10 peaks for 5° ≤ 2θ ≤ 70°, low angle first:
2theta	intensity
17.78	67
19.90	20
25.25	100
36.02	43
37.16	24
40.44	33
44.50	67
49.19	13
51.85	14
58.52	13

Cell and atoms:
a = 9.9747 Å, b = 9.9747 Å, c = 9.9747 Å
α = 90.00°, β = 90.00°, γ = 90.00°
Space group P2_13 (No. 198)
Symmetry-distinct sites (fractional):
Ca (0.2096, 0.2904, 0.7096) [4 per cell]
Ca (0.2460, 0.2460, 0.2460) [4 per cell]
Sn (0.0160, 0.5160, 0.9840) [4 per cell]
Sn (0.0186, 0.0186, 0.0186) [4 per cell]
S (0.0074, 0.6011, 0.2265) [12 per cell]
S (0.0376, 0.7754, 0.9330) [12 per cell]